(1)
Calculated powder diffraction line list
Compound: Tb2PrHo12
Radiation: Cu Kα (λ = 1.5418 Å)
Structure: a cell relaxed with PBE
Neutral-atom scattering factors, no anomalous dispersion.

abc: 3.5442 5.5605 24.3063
angles: 90.00 94.06 90.00
Fractional positions:
Tb 0.1349 0.0000 0.2729
Tb 0.8651 0.0000 0.7271
Pr 0.5000 0.0000 0.0000
Ho 0.0371 0.5000 0.0757
Ho 0.2249 0.5000 0.4452
Ho 0.2836 0.0000 0.5734
Ho 0.3348 0.5000 0.6687
Ho 0.4011 0.5000 0.7974
Ho 0.4314 0.0000 0.8614
Ho 0.5686 0.0000 0.1386
Ho 0.5989 0.5000 0.2026
Ho 0.6652 0.5000 0.3313
Ho 0.7164 0.0000 0.4266
Ho 0.7751 0.5000 0.5548
Ho 0.9629 0.5000 0.9243

Principal peaks in the range 2θ from 10° to 80°, by angle:
| Position (°2θ) | I_rel |
| --- | --- |
| 30.4 | 100 |
| 31.3 | 43 |
| 32.2 | 68 |
| 32.4 | 37 |
| 32.6 | 69 |
| 33.7 | 31 |
| 36.3 | 16 |
| 46.3 | 28 |
| 51.6 | 18 |
| 56.3 | 18 |
| 60.1 | 13 |
| 62.1 | 21 |



(2)
Calculated powder diffraction line list
Compound: RbTl10In3
Radiation: Cu Kα (λ = 1.5418 Å)
Structure: a cell relaxed with PBE
Neutral-atom scattering factors, no anomalous dispersion.

abc: 11.1571 11.1571 11.1571
angles: 60.00 60.00 60.00
Fractional positions:
Rb 0.2500 0.2500 0.2500
Rb 0.7500 0.7500 0.7500
Tl 0.0000 0.0000 0.3555
Tl 0.0000 0.0000 0.6445
Tl 0.0000 0.3555 0.0000
Tl 0.0000 0.3555 0.6445
Tl 0.0000 0.6445 0.0000
Tl 0.0000 0.6445 0.3555
Tl 0.1545 0.6152 0.6152
Tl 0.3555 0.0000 0.0000
Tl 0.3555 0.0000 0.6445
Tl 0.3555 0.6445 0.0000
Tl 0.3848 0.3848 0.3848
Tl 0.3848 0.3848 0.8455
Tl 0.3848 0.8455 0.3848
Tl 0.6152 0.1545 0.6152
Tl 0.6152 0.6152 0.1545
Tl 0.6152 0.6152 0.6152
Tl 0.6445 0.0000 0.0000
Tl 0.6445 0.0000 0.3555
Tl 0.6445 0.3555 0.0000
Tl 0.8455 0.3848 0.3848
In 0.2625 0.2625 0.7375
In 0.2625 0.7375 0.2625
In 0.2625 0.7375 0.7375
In 0.7375 0.2625 0.2625
In 0.7375 0.2625 0.7375
In 0.7375 0.7375 0.2625

Principal peaks in the range 2θ from 10° to 80°, by angle:
| Position (°2θ) | I_rel |
| --- | --- |
| 15.9 | 25 |
| 25.2 | 17 |
| 29.4 | 100 |
| 32.1 | 37 |
| 33.6 | 57 |
| 34.1 | 16 |
| 37.8 | 25 |
| 49.0 | 22 |
| 50.1 | 14 |
| 52.9 | 16 |
| 57.2 | 23 |
| 79.4 | 15 |



(3)
Calculated powder diffraction line list
Compound: Sm2HoPt9
Radiation: Cu Kα (λ = 1.5418 Å)
Structure: a cell relaxed with PBE
Neutral-atom scattering factors, no anomalous dispersion.

abc: 4.1491 4.1491 12.4454
angles: 90.00 90.00 90.00
Fractional positions:
Sm 0.0000 0.0000 0.1681
Sm 0.0000 0.0000 0.8319
Ho 0.0000 0.0000 0.5000
Pt 0.0000 0.5000 0.0000
Pt 0.0000 0.5000 0.3374
Pt 0.0000 0.5000 0.6626
Pt 0.5000 0.0000 0.0000
Pt 0.5000 0.0000 0.3374
Pt 0.5000 0.0000 0.6626
Pt 0.5000 0.5000 0.1686
Pt 0.5000 0.5000 0.5000
Pt 0.5000 0.5000 0.8314

Principal peaks in the range 2θ from 10° to 80°, by angle:
| Position (°2θ) | I_rel |
| --- | --- |
| 21.4 | 1 |
| 30.5 | 1 |
| 37.5 | 100 |
| 43.6 | 49 |
| 63.4 | 33 |
| 76.1 | 39 |